(1)
For SrFe2S4, DFT lattice parameters and positions (GGA-PBE) gives the computed powder diffractogram in this record (copper Kα).
Lines closer than 0.1° are merged.

Largest 6 diffraction maxima, in order of rising 2θ, 2θ = 15–90°:
| 2θ (°) | Rel. int. |
| --- | --- |
| 16.74 | 432 |
| 23.51 | 506 |
| 23.76 | 740 |
| 31.41 | 672 |
| 33.85 | 683 |
| 41.17 | 1000 |

Structural model:
Cell lengths 7.4901, 7.4901, 5.4096 Å; angles 90.00, 90.00, 90.00 degrees
Atoms (fractional coordinates):
Sr: 0.2500 0.2500 0.0000
Sr: 0.7500 0.7500 0.0000
Fe: 0.2500 0.7500 0.0000
Fe: 0.2500 0.7500 0.5000
Fe: 0.7500 0.2500 0.0000
Fe: 0.7500 0.2500 0.5000
S: 0.0915 0.5915 0.2460
S: 0.0915 0.9085 0.7540
S: 0.4085 0.5915 0.7540
S: 0.4085 0.9085 0.2460
S: 0.5915 0.0915 0.7540
S: 0.5915 0.4085 0.2460
S: 0.9085 0.0915 0.2460
S: 0.9085 0.4085 0.7540

(2)
For Rb2Dy4Cu4S9, DFT lattice parameters and positions (GGA-PBE) gives the computed powder diffractogram in this record (copper Kα).
Lines closer than 0.1° are merged.

Largest 6 diffraction maxima, in order of rising 2θ, 2θ = 15–90°:
| 2θ (°) | Rel. int. |
| --- | --- |
| 25.79 | 916 |
| 27.31 | 701 |
| 28.09 | 826 |
| 29.64 | 1000 |
| 32.32 | 794 |
| 45.82 | 716 |

Structural model:
Cell lengths 7.2303, 7.2303, 15.9953 Å; angles 108.53, 108.53, 31.79 degrees
Atoms (fractional coordinates):
Rb: 0.0279 0.0279 0.2706
Rb: 0.9721 0.9721 0.7294
Dy: 0.2317 0.2317 0.1034
Dy: 0.3457 0.3457 0.4456
Dy: 0.6543 0.6543 0.5544
Dy: 0.7683 0.7683 0.8966
Cu: 0.2479 0.2479 0.7287
Cu: 0.4299 0.4299 0.0389
Cu: 0.5701 0.5701 0.9611
Cu: 0.7521 0.7521 0.2713
S: 0.0000 0.0000 0.5000
S: 0.1394 0.1394 0.9253
S: 0.2956 0.2956 0.6001
S: 0.3425 0.3425 0.2770
S: 0.3919 0.3919 0.8762
S: 0.6081 0.6081 0.1238
S: 0.6575 0.6575 0.7230
S: 0.7044 0.7044 0.3999
S: 0.8606 0.8606 0.0747

(3)
For CuAg6, DFT lattice parameters and positions (GGA-PBE) gives the computed powder diffractogram in this record (copper Kα).
Lines closer than 0.1° are merged.

Largest 6 diffraction maxima, in order of rising 2θ, 2θ = 15–90°:
| 2θ (°) | Rel. int. |
| --- | --- |
| 38.11 | 1000 |
| 43.88 | 348 |
| 45.10 | 129 |
| 63.80 | 107 |
| 64.74 | 169 |
| 76.80 | 234 |

Structural model:
Cell lengths 2.9178, 2.9178, 28.1450 Å; angles 90.00, 90.00, 90.00 degrees
Atoms (fractional coordinates):
Cu: 0.0000 0.0000 0.0000
Cu: 0.5000 0.5000 0.5000
Ag: 0.0000 0.0000 0.1385
Ag: 0.0000 0.0000 0.2869
Ag: 0.0000 0.0000 0.4370
Ag: 0.0000 0.0000 0.5630
Ag: 0.0000 0.0000 0.7131
Ag: 0.0000 0.0000 0.8615
Ag: 0.5000 0.5000 0.0630
Ag: 0.5000 0.5000 0.2131
Ag: 0.5000 0.5000 0.3615
Ag: 0.5000 0.5000 0.6385
Ag: 0.5000 0.5000 0.7869
Ag: 0.5000 0.5000 0.9370

(4)
For Zr3Zn3PtAu2, DFT lattice parameters and positions (GGA-PBE) gives the computed powder diffractogram in this record (copper Kα).
Lines closer than 0.1° are merged.

Largest 6 diffraction maxima, in order of rising 2θ, 2θ = 15–90°:
| 2θ (°) | Rel. int. |
| --- | --- |
| 24.35 | 671 |
| 28.88 | 535 |
| 35.28 | 772 |
| 38.12 | 1000 |
| 42.86 | 927 |
| 45.76 | 706 |

Structural model:
Cell lengths 7.3094, 7.3094, 3.5433 Å; angles 90.00, 90.00, 120.00 degrees
Atoms (fractional coordinates):
Zr: 0.0000 0.3836 0.0000
Zr: 0.3836 0.0000 0.0000
Zr: 0.6164 0.6164 0.0000
Zn: 0.0000 0.7297 0.5000
Zn: 0.2703 0.2703 0.5000
Zn: 0.7297 0.0000 0.5000
Pt: 0.0000 0.0000 0.0000
Au: 0.3333 0.6667 0.5000
Au: 0.6667 0.3333 0.5000

(5)
For Pm3Al, DFT lattice parameters and positions (GGA-PBE) gives the computed powder diffractogram in this record (copper Kα).
Lines closer than 0.1° are merged.

Largest 6 diffraction maxima, in order of rising 2θ, 2θ = 15–90°:
| 2θ (°) | Rel. int. |
| --- | --- |
| 22.01 | 286 |
| 29.26 | 244 |
| 33.29 | 239 |
| 33.76 | 1000 |
| 59.78 | 193 |
| 63.05 | 204 |

Structural model:
Cell lengths 7.0492, 7.0492, 5.3832 Å; angles 90.00, 90.00, 120.00 degrees
Atoms (fractional coordinates):
Pm: 0.1776 0.3553 0.2500
Pm: 0.1776 0.8224 0.2500
Pm: 0.3553 0.1776 0.7500
Pm: 0.6447 0.8224 0.2500
Pm: 0.8224 0.1776 0.7500
Pm: 0.8224 0.6447 0.7500
Al: 0.3333 0.6667 0.7500
Al: 0.6667 0.3333 0.2500

(6)
For MgNi11, DFT lattice parameters and positions (GGA-PBE) gives the computed powder diffractogram in this record (copper Kα).
Lines closer than 0.1° are merged.

Largest 6 diffraction maxima, in order of rising 2θ, 2θ = 15–90°:
| 2θ (°) | Rel. int. |
| --- | --- |
| 20.60 | 8 |
| 21.85 | 23 |
| 44.54 | 1000 |
| 51.90 | 465 |
| 76.41 | 132 |
| 76.51 | 133 |

Structural model:
Cell lengths 4.9801, 4.9801, 7.4744 Å; angles 119.92, 119.92, 60.02 degrees
Atoms (fractional coordinates):
Mg: 0.0000 0.0000 0.0000
Ni: 0.0000 0.5000 0.0000
Ni: 0.1681 0.6618 0.6604
Ni: 0.1686 0.1686 0.6707
Ni: 0.3361 0.3361 0.3338
Ni: 0.3382 0.8319 0.3396
Ni: 0.5000 0.0000 0.0000
Ni: 0.5000 0.5000 0.0000
Ni: 0.6618 0.1681 0.6604
Ni: 0.6639 0.6639 0.6662
Ni: 0.8314 0.8314 0.3293
Ni: 0.8319 0.3382 0.3396

(7)
For TaI3O, DFT lattice parameters and positions (GGA-PBE) gives the computed powder diffractogram in this record (copper Kα).
Lines closer than 0.1° are merged.

Largest 6 diffraction maxima, in order of rising 2θ, 2θ = 15–90°:
| 2θ (°) | Rel. int. |
| --- | --- |
| 15.48 | 387 |
| 23.89 | 856 |
| 24.90 | 330 |
| 27.88 | 1000 |
| 42.25 | 603 |
| 51.38 | 402 |

Structural model:
Cell lengths 12.8013, 12.8013, 3.8932 Å; angles 90.00, 90.00, 90.00 degrees
Atoms (fractional coordinates):
Ta: 0.1228 0.3772 0.2555
Ta: 0.3772 0.8772 0.7445
Ta: 0.6228 0.1228 0.7445
Ta: 0.8772 0.6228 0.2555
I: 0.1038 0.1695 0.2551
I: 0.1048 0.6048 0.2557
I: 0.1695 0.8962 0.7449
I: 0.3305 0.3962 0.2551
I: 0.3952 0.1048 0.7443
I: 0.3962 0.6695 0.7449
I: 0.6038 0.3305 0.7449
I: 0.6048 0.8952 0.7443
I: 0.6695 0.6038 0.2551
I: 0.8305 0.1038 0.7449
I: 0.8952 0.3952 0.2557
I: 0.8962 0.8305 0.2551
O: 0.1165 0.3835 0.7555
O: 0.3835 0.8835 0.2445
O: 0.6165 0.1165 0.2445
O: 0.8835 0.6165 0.7555

(8)
For PrThIr4, DFT lattice parameters and positions (GGA-PBE) gives the computed powder diffractogram in this record (copper Kα).
Lines closer than 0.1° are merged.

Largest 6 diffraction maxima, in order of rising 2θ, 2θ = 15–90°:
| 2θ (°) | Rel. int. |
| --- | --- |
| 32.81 | 254 |
| 38.68 | 1000 |
| 40.48 | 417 |
| 62.51 | 333 |
| 68.79 | 290 |
| 82.96 | 163 |

Structural model:
Cell lengths 5.4590, 5.4590, 5.4590 Å; angles 60.00, 60.00, 60.00 degrees
Atoms (fractional coordinates):
Pr: 0.0000 0.0000 0.0000
Th: 0.7500 0.7500 0.7500
Ir: 0.3748 0.3748 0.3748
Ir: 0.3748 0.3748 0.8755
Ir: 0.3748 0.8755 0.3748
Ir: 0.8755 0.3748 0.3748